This entry pairs a crystal structure of GdCuB4 with its theoretical powder diffractogram. Radiation: Cu Kα, 1.54184 Å. Structure: a DFT-relaxed cell (PBE, OQMD).
No peak broadening, texture or thermal motion is included.

Largest 6 diffraction maxima, by angle, 15° ≤ 2θ ≤ 90°:
d = 3.348 Å, 26.6 deg, rel. 37.7; d = 2.777 Å, 32.2 deg, rel. 80.9; d = 2.565 Å, 35.0 deg, rel. 23.9; d = 2.137 Å, 42.3 deg, rel. 100.0; d = 1.603 Å, 57.5 deg, rel. 22.2; d = 1.434 Å, 65.1 deg, rel. 22.5

Structural model:
```
data_GdCuB4
_cell_length_a 3.2062
_cell_length_b 3.2062
_cell_length_c 6.6959
_cell_angle_alpha 90.00
_cell_angle_beta 90.00
_cell_angle_gamma 120.00
_space_group_name_H-M_alt 'P 6/m m m'
_space_group_IT_number 191
_space_group_name_Hall '-P 6 2'
loop_
_atom_site_label
_atom_site_fract_x
_atom_site_fract_y
_atom_site_fract_z
Gd1 0.0000 0.0000 0.0000
Cu1 0.0000 0.0000 0.5000
B1 0.3333 0.6667 0.2876
```



This entry pairs a crystal structure of KNiHC2S2N4 with its theoretical powder diffractogram. Radiation: Cu Kα, 1.54184 Å. Structure: a DFT-relaxed cell (PBE, OQMD).
No peak broadening, texture or thermal motion is included.

Largest 6 diffraction maxima, by angle, 15° ≤ 2θ ≤ 90°:
d = 4.878 Å, 18.2 deg, rel. 37.9; d = 4.000 Å, 22.2 deg, rel. 42.2; d = 3.312 Å, 26.9 deg, rel. 100.0; d = 3.019 Å, 29.6 deg, rel. 24.3; d = 2.912 Å, 30.7 deg, rel. 25.9; d = 2.231 Å, 40.4 deg, rel. 17.2

Structural model:
```
data_KNiHC2S2N4
_cell_length_a 4.1129
_cell_length_b 18.1150
_cell_length_c 10.1596
_cell_angle_alpha 90.00
_cell_angle_beta 94.33
_cell_angle_gamma 90.00
_space_group_name_H-M_alt 'P 1 21/c 1'
_space_group_IT_number 14
loop_
_space_group_symop_operation_xyz
'x,y,z'
'-x,-y,-z'
'-x,y+1/2,-z+1/2'
'x,-y+1/2,z+1/2'
loop_
_atom_site_label
_atom_site_fract_x
_atom_site_fract_y
_atom_site_fract_z
K1 0.2392 0.0747 0.1370
Ni1 0.3159 0.1160 0.6975
H1 0.0515 0.6040 0.0238
C1 0.2564 0.0162 0.6743
C2 0.4338 0.5964 0.6521
S1 0.0170 0.7245 0.9924
S2 0.3847 0.2304 0.7384
N1 0.0604 0.1401 0.5458
N2 0.1682 0.2273 0.1157
N3 0.2199 0.5484 0.1695
N4 0.2793 0.5808 0.5534
```



This entry pairs a crystal structure of Rb2LiTcF6 with its theoretical powder diffractogram. Radiation: Cu Kα, 1.54184 Å. Structure: a DFT-relaxed cell (PBE, OQMD).
No peak broadening, texture or thermal motion is included.

Largest 6 diffraction maxima, by angle, 15° ≤ 2θ ≤ 90°:
d = 4.724 Å, 18.8 deg, rel. 28.8; d = 4.662 Å, 19.0 deg, rel. 26.6; d = 2.895 Å, 30.9 deg, rel. 25.5; d = 2.877 Å, 31.1 deg, rel. 100.0; d = 2.027 Å, 44.7 deg, rel. 48.1; d = 1.668 Å, 55.0 deg, rel. 30.1

Structural model:
```
data_Rb2LiTcF6
_cell_length_a 9.9362
_cell_length_b 5.7905
_cell_length_c 5.6779
_cell_angle_alpha 90.00
_cell_angle_beta 124.72
_cell_angle_gamma 90.00
_space_group_name_H-M_alt 'C 1 2/m 1'
_space_group_IT_number 12
loop_
_space_group_symop_operation_xyz
'x,y,z'
'-x,-y,-z'
'-x,y,-z'
'x,-y,z'
'x+1/2,y+1/2,z'
'-x+1/2,-y+1/2,-z'
'-x+1/2,y+1/2,-z'
'x+1/2,-y+1/2,z'
loop_
_atom_site_label
_atom_site_fract_x
_atom_site_fract_y
_atom_site_fract_z
Rb1 0.2477 0.0000 0.2482
Li1 0.0000 0.5000 0.0000
Tc1 0.0000 0.0000 0.5000
F1 0.0005 0.2523 0.7480
F2 0.2486 0.5000 0.2483
```



This entry pairs a crystal structure of CsKAsAu with its theoretical powder diffractogram. Radiation: Cu Kα, 1.54184 Å. Structure: a DFT-relaxed cell (PBE, OQMD).
No peak broadening, texture or thermal motion is included.

Largest 6 diffraction maxima, by angle, 15° ≤ 2θ ≤ 90°:
d = 5.322 Å, 16.7 deg, rel. 62.6; d = 3.229 Å, 27.6 deg, rel. 93.6; d = 2.982 Å, 30.0 deg, rel. 100.0; d = 2.915 Å, 30.7 deg, rel. 75.9; d = 2.856 Å, 31.3 deg, rel. 58.8; d = 2.556 Å, 35.1 deg, rel. 62.8

Structural model:
```
data_CsKAsAu
_cell_length_a 6.7760
_cell_length_b 7.7866
_cell_length_c 10.6438
_cell_angle_alpha 90.00
_cell_angle_beta 90.00
_cell_angle_gamma 90.00
_space_group_name_H-M_alt 'A m a 2'
_space_group_IT_number 40
loop_
_space_group_symop_operation_xyz
'x,y,z'
'-x,-y,z'
'-x+1/2,y,z'
'x+1/2,-y,z'
'x,y+1/2,z+1/2'
'-x,-y+1/2,z+1/2'
'-x+1/2,y+1/2,z+1/2'
'x+1/2,-y+1/2,z+1/2'
loop_
_atom_site_label
_atom_site_fract_x
_atom_site_fract_y
_atom_site_fract_z
Cs1 0.2500 0.1529 0.0000
K1 0.2500 0.1550 0.3428
As1 0.2500 0.2406 0.6630
Au1 0.0000 0.0000 0.6765
```



This entry pairs a crystal structure of Ba2LiZnH6 with its theoretical powder diffractogram. Radiation: Cu Kα, 1.54184 Å. Structure: a DFT-relaxed cell (PBE, OQMD).
No peak broadening, texture or thermal motion is included.

Largest 6 diffraction maxima, by angle, 15° ≤ 2θ ≤ 90°:
d = 3.997 Å, 22.2 deg, rel. 35.6; d = 2.826 Å, 31.7 deg, rel. 100.0; d = 1.998 Å, 45.4 deg, rel. 19.2; d = 1.787 Å, 51.1 deg, rel. 15.4; d = 1.632 Å, 56.4 deg, rel. 38.1; d = 1.264 Å, 75.2 deg, rel. 16.3

Structural model:
```
data_Ba2LiZnH6
_cell_length_a 7.9936
_cell_length_b 7.9936
_cell_length_c 7.9936
_cell_angle_alpha 90.00
_cell_angle_beta 90.00
_cell_angle_gamma 90.00
_space_group_name_H-M_alt 'F m -3 m'
_space_group_IT_number 225
_space_group_name_Hall '-F 4 2 3'
loop_
_atom_site_label
_atom_site_fract_x
_atom_site_fract_y
_atom_site_fract_z
Ba1 0.2500 0.2500 0.2500
Li1 0.0000 0.0000 0.0000
Zn1 0.0000 0.0000 0.5000
H1 0.0000 0.0000 0.2558
```